Record 1
AuBrCl3: simulated X-ray powder pattern (Cu Kα X-rays), based on a cell relaxed with PBE.
Neutral-atom scattering factors, no anomalous dispersion.

Largest 10 diffraction maxima, by angle, 5 to 70 degrees two-theta:
| 2θ (°) | I/Imax | (hkl) |
| --- | --- | --- |
| 16.21 | 62.3 | 1 0 -2 |
| 16.71 | 64.3 | 1 1 0 |
| 17.96 | 100.0 | 2 0 0 |
| 21.27 | 42.3 | 2 1 -1 |
| 23.93 | 23.1 | 1 0 2 |
| 24.62 | 41.0 | 3 0 -2 |
| 28.52 | 22.2 | 1 1 -3 |
| 31.72 | 20.9 | 3 1 -3 |
| 35.99 | 26.6 | 1 1 3 |
| 43.98 | 34.3 | 1 3 0 |

Cell: 11.1635 6.3098 10.9432 Å, 90.00 117.74 90.00°
Space group P2_1/c (No. 14)
Asymmetric unit:
Au: 0.2412 0.0984 0.1071
Br: 0.2170 0.0580 0.7005
Cl: 0.1002 0.2168 0.8837
Cl: 0.2592 0.7272 0.5199
Cl: 0.3808 0.5162 0.8279

***

Record 2
SrLiAg2Sn: simulated X-ray powder pattern (Cu Kα X-rays), based on a cell relaxed with PBE.
Neutral-atom scattering factors, no anomalous dispersion.

Largest 10 diffraction maxima, by angle, 5 to 70 degrees two-theta:
| 2θ (°) | I/Imax | (hkl) |
| --- | --- | --- |
| 19.98 | 56.1 | 0 1 1 |
| 21.18 | 47.9 | 1 0 1 |
| 27.13 | 59.5 | 1 1 0 |
| 29.68 | 68.2 | 0 1 3 |
| 30.52 | 76.7 | 1 0 3 |
| 31.30 | 100.0 | 1 1 2 |
| 37.38 | 59.3 | 0 2 0 |
| 40.07 | 48.7 | 2 0 0 |
| 41.58 | 61.2 | 1 1 4 |
| 43.37 | 54.2 | 0 1 5 |

Cell: 4.5000 4.8115 11.5738 Å, 90.00 90.00 90.00°
Space group Imm2 (No. 44)
Asymmetric unit:
Sr: 0.0000 0.0000 0.0000
Li: 0.0000 0.5000 0.7444
Ag: 0.0000 0.0000 0.3797
Ag: 0.0000 0.5000 0.2539
Sn: 0.0000 0.0000 0.6175

***

Record 3
RbCePuO6: simulated X-ray powder pattern (Cu Kα X-rays), based on a cell relaxed with PBE.
Neutral-atom scattering factors, no anomalous dispersion.

Largest 10 diffraction maxima, by angle, 5 to 70 degrees two-theta:
| 2θ (°) | I/Imax | (hkl) |
| --- | --- | --- |
| 13.46 | 26.8 | 0 1 1 |
| 13.85 | 86.2 | 1 0 1 |
| 25.88 | 100.0 | 1 2 1 |
| 26.49 | 59.9 | 0 1 3 |
| 26.65 | 41.1 | 1 0 3 |
| 27.10 | 59.8 | 0 2 2 |
| 27.92 | 64.7 | 2 0 2 |
| 41.18 | 18.6 | 0 3 3 |
| 45.84 | 54.2 | 2 2 4 |
| 53.22 | 24.4 | 2 4 2 |

Cell: 7.8169 8.1701 11.1031 Å, 90.00 90.00 90.00°
Space group Imma (No. 74)
Asymmetric unit:
Rb: 0.0000 0.2500 0.1146
Ce: 0.2500 0.2500 0.7500
Pu: 0.0000 0.0000 0.5000
O: 0.0000 0.2500 0.4570
O: 0.0000 0.2500 0.8282
O: 0.1789 0.0363 0.6213

***

Record 4
La6Mg2Hg: simulated X-ray powder pattern (Cu Kα X-rays), based on a cell relaxed with PBE.
Neutral-atom scattering factors, no anomalous dispersion.

Largest 10 diffraction maxima, by angle, 5 to 70 degrees two-theta:
| 2θ (°) | I/Imax | (hkl) |
| --- | --- | --- |
| 10.63 | 8.8 | 0 0 2 |
| 18.23 | 9.0 | 1 1 1 |
| 23.73 | 8.4 | 1 1 3 |
| 30.89 | 100.0 | 1 3 3 |
| 32.30 | 46.7 | 2 0 0 |
| 42.09 | 9.2 | 0 6 0 |
| 46.32 | 17.0 | 2 0 6 |
| 54.03 | 17.6 | 2 6 0 |
| 56.72 | 35.3 | 3 3 3 |
| 64.36 | 10.3 | 2 6 6 |

Cell: 5.5412 12.8801 16.6387 Å, 90.00 90.00 90.00°
Space group Fmmm (No. 69)
Asymmetric unit:
La: 0.0000 0.1481 0.0000
La: 0.0000 0.1564 0.3361
Mg: 0.0000 0.0000 0.1737
Hg: 0.0000 0.0000 0.5000

***

Record 5
PrEr4Se6: simulated X-ray powder pattern (Cu Kα X-rays), based on a cell relaxed with PBE.
Neutral-atom scattering factors, no anomalous dispersion.

Largest 10 diffraction maxima, by angle, 5 to 70 degrees two-theta:
| 2θ (°) | I/Imax | (hkl) |
| --- | --- | --- |
| 25.33 | 53.3 | 0 2 5 |
| 29.15 | 32.5 | 0 2 6 |
| 30.34 | 46.0 | 1 3 1 |
| 31.27 | 100.0 | 1 3 2 |
| 32.76 | 68.1 | 1 3 3 |
| 33.14 | 34.6 | 0 2 7 |
| 42.07 | 40.6 | 1 1 8 |
| 44.44 | 37.1 | 1 5 4 |
| 45.14 | 38.6 | 2 0 0 |
| 46.46 | 38.7 | 0 6 5 |

Cell: 4.0170 13.2980 20.7125 Å, 90.00 90.00 90.00°
Space group Cmcm (No. 63)
Asymmetric unit:
Pr: 0.0000 0.1540 0.2500
Er: 0.0000 0.0909 0.6253
Er: 0.0000 0.3599 0.5377
Se: 0.0000 0.0000 0.0000
Se: 0.0000 0.1799 0.7500
Se: 0.0000 0.2674 0.0900
Se: 0.0000 0.4517 0.6631

***

Record 6
SmCu4Ge4: simulated X-ray powder pattern (Cu Kα X-rays), based on a cell relaxed with PBE.
Neutral-atom scattering factors, no anomalous dispersion.

Largest 10 diffraction maxima, by angle, 5 to 70 degrees two-theta:
| 2θ (°) | I/Imax | (hkl) |
| --- | --- | --- |
| 28.42 | 11.9 | 2 0 0 |
| 30.20 | 19.3 | 1 1 2 |
| 33.85 | 100.0 | 2 1 1 |
| 36.86 | 51.7 | 1 0 3 |
| 40.63 | 18.5 | 2 2 0 |
| 45.69 | 15.1 | 0 0 4 |
| 46.88 | 18.6 | 2 2 2 |
| 56.01 | 31.4 | 3 0 3 |
| 58.81 | 17.1 | 4 0 0 |
| 62.79 | 28.4 | 2 2 4 |

Cell: 6.2805 6.2805 7.9392 Å, 90.00 90.00 90.00°
Space group P4_2/nmc (No. 137, origin choice 2)
Asymmetric unit:
Sm: 0.2500 0.7500 0.2500
Cu: 0.0542 0.2500 0.1050
Ge: 0.0056 0.2500 0.4065

***

> What is the formula in the third record?

RbCePuO6

***

> What is the formula in the first record?

AuBrCl3